# 1
Structure and computed X-ray diffraction stick pattern of Sm4GeTe (a crystal structure in Alexandria, relaxed with GGA-PBE; copper Kα).
Lines closer than 0.1° are merged.

Main lines, in order of rising 2θ (2θ = 10–80°):
2θ (°)	I_rel
16.7	264
29.5	359
32.8	871
32.9	1000
35.1	571
38.8	296
44.7	231
47.0	239
58.6	293
68.8	360

Structure:
```
data_Sm4GeTe
_cell_length_a 11.336
_cell_length_b 11.336
_cell_length_c 6.302
_cell_angle_alpha 90.00
_cell_angle_beta 90.00
_cell_angle_gamma 152.11
_space_group_name_H-M_alt 'P 1'
_space_group_IT_number 1
loop_
_space_group_symop_operation_xyz
'x,y,z'
loop_
_atom_site_label
_atom_site_type_symbol
_atom_site_fract_x
_atom_site_fract_y
_atom_site_fract_z
Sm1 Sm 0.071 0.929 0.750
Sm2 Sm 0.213 0.787 0.504
Sm3 Sm 0.213 0.787 0.996
Sm4 Sm 0.368 0.632 0.750
Sm5 Sm 0.632 0.368 0.250
Sm6 Sm 0.787 0.213 0.004
Sm7 Sm 0.787 0.213 0.496
Sm8 Sm 0.929 0.071 0.250
Ge1 Ge 0.344 0.656 0.250
Ge2 Ge 0.656 0.344 0.750
Te1 Te 0.070 0.930 0.250
Te2 Te 0.930 0.070 0.750
```

# 2
Structure and computed X-ray diffraction stick pattern of Sm4ThGe4 (a crystal structure in Alexandria, relaxed with GGA-PBE; copper Kα).
Lines closer than 0.1° are merged.

Main lines, in order of rising 2θ (2θ = 10–80°):
2θ (°)	I_rel
17.6	92
25.9	439
30.0	1000
42.9	754
50.8	141
53.2	267
68.6	90
70.6	228
70.8	114
78.6	169

Structure:
```
data_Sm4ThGe4
_cell_length_a 7.303
_cell_length_b 7.303
_cell_length_c 7.303
_cell_angle_alpha 99.55
_cell_angle_beta 99.55
_cell_angle_gamma 131.93
_space_group_name_H-M_alt 'P 1'
_space_group_IT_number 1
loop_
_space_group_symop_operation_xyz
'x,y,z'
loop_
_atom_site_label
_atom_site_type_symbol
_atom_site_fract_x
_atom_site_fract_y
_atom_site_fract_z
Sm1 Sm 0.100 0.303 0.404
Sm2 Sm 0.303 0.900 0.203
Sm3 Sm 0.697 0.100 0.797
Sm4 Sm 0.900 0.697 0.596
Th1 Th 0.500 0.500 0.000
Ge1 Ge 0.204 0.602 0.805
Ge2 Ge 0.398 0.204 0.602
Ge3 Ge 0.602 0.796 0.398
Ge4 Ge 0.796 0.398 0.195
```

# 3
Structure and computed X-ray diffraction stick pattern of Sm8TlGe5 (a crystal structure in Alexandria, relaxed with GGA-PBE; copper Kα).
Lines closer than 0.1° are merged.

Main lines, in order of rising 2θ (2θ = 10–80°):
2θ (°)	I_rel
27.6	125
31.0	1000
36.8	620
46.7	92
48.9	166
51.0	292
62.7	196
64.5	88
66.4	137
76.7	112

Structure:
```
data_Sm8TlGe5
_cell_length_a 7.906
_cell_length_b 7.906
_cell_length_c 7.906
_cell_angle_alpha 109.42
_cell_angle_beta 109.42
_cell_angle_gamma 109.58
_space_group_name_H-M_alt 'P 1'
_space_group_IT_number 1
loop_
_space_group_symop_operation_xyz
'x,y,z'
loop_
_atom_site_label
_atom_site_type_symbol
_atom_site_fract_x
_atom_site_fract_y
_atom_site_fract_z
Sm1 Sm 0.133 0.753 0.757
Sm2 Sm 0.137 0.243 0.760
Sm3 Sm 0.247 0.004 0.380
Sm4 Sm 0.483 0.376 0.240
Sm5 Sm 0.623 0.867 0.620
Sm6 Sm 0.624 0.863 0.107
Sm7 Sm 0.757 0.517 0.893
Sm8 Sm 0.996 0.377 0.243
Tl1 Tl 0.750 0.250 0.500
Ge1 Ge 0.000 0.000 0.000
Ge2 Ge 0.251 0.629 0.124
Ge3 Ge 0.371 0.495 0.622
Ge4 Ge 0.505 0.127 0.876
Ge5 Ge 0.873 0.749 0.378
```

# 4
Structure and computed X-ray diffraction stick pattern of Sm5Tl2Ge2 (a crystal structure in Alexandria, relaxed with GGA-PBE; copper Kα).
Lines closer than 0.1° are merged.

Main lines, in order of rising 2θ (2θ = 10–80°):
2θ (°)	I_rel
25.1	204
30.1	347
31.6	1000
31.8	479
32.0	402
33.7	386
36.1	284
36.2	284
37.7	174
56.8	206

Structure:
```
data_Sm5Tl2Ge2
_cell_length_a 8.974
_cell_length_b 8.974
_cell_length_c 7.975
_cell_angle_alpha 90.00
_cell_angle_beta 90.00
_cell_angle_gamma 52.45
_space_group_name_H-M_alt 'P 1'
_space_group_IT_number 1
loop_
_space_group_symop_operation_xyz
'x,y,z'
loop_
_atom_site_label
_atom_site_type_symbol
_atom_site_fract_x
_atom_site_fract_y
_atom_site_fract_z
Sm1 Sm 0.000 0.000 0.000
Sm2 Sm 0.053 0.695 0.674
Sm3 Sm 0.195 0.553 0.174
Sm4 Sm 0.305 0.947 0.674
Sm5 Sm 0.447 0.805 0.174
Sm6 Sm 0.500 0.500 0.500
Sm7 Sm 0.553 0.195 0.826
Sm8 Sm 0.695 0.053 0.326
Sm9 Sm 0.805 0.447 0.826
Sm10 Sm 0.947 0.305 0.326
Tl1 Tl 0.217 0.217 0.000
Tl2 Tl 0.283 0.283 0.500
Tl3 Tl 0.717 0.717 0.500
Tl4 Tl 0.783 0.783 0.000
Ge1 Ge 0.126 0.874 0.370
Ge2 Ge 0.374 0.626 0.870
Ge3 Ge 0.626 0.374 0.130
Ge4 Ge 0.874 0.126 0.630
```

# 5
Structure and computed X-ray diffraction stick pattern of Sm3TlGe (a crystal structure in Alexandria, relaxed with GGA-PBE; copper Kα).
Lines closer than 0.1° are merged.

Main lines, in order of rising 2θ (2θ = 10–80°):
2θ (°)	I_rel
28.0	497
30.6	778
31.1	675
33.4	1000
33.6	764
34.3	236
37.1	571
51.1	277
54.6	215
55.8	297

Structure:
```
data_Sm3TlGe
_cell_length_a 9.695
_cell_length_b 9.044
_cell_length_c 6.013
_cell_angle_alpha 77.28
_cell_angle_beta 65.49
_cell_angle_gamma 37.23
_space_group_name_H-M_alt 'P 1'
_space_group_IT_number 1
loop_
_space_group_symop_operation_xyz
'x,y,z'
loop_
_atom_site_label
_atom_site_type_symbol
_atom_site_fract_x
_atom_site_fract_y
_atom_site_fract_z
Sm1 Sm 0.190 0.190 0.810
Sm2 Sm 0.206 0.580 0.420
Sm3 Sm 0.420 0.794 0.206
Sm4 Sm 0.580 0.206 0.794
Sm5 Sm 0.794 0.420 0.580
Sm6 Sm 0.810 0.810 0.190
Tl1 Tl 0.210 0.790 0.790
Tl2 Tl 0.790 0.210 0.210
Ge1 Ge 0.250 0.250 0.250
Ge2 Ge 0.750 0.750 0.750
```

# 6
Structure and computed X-ray diffraction stick pattern of Sm2Tm2Ge3 (a crystal structure in Alexandria, relaxed with GGA-PBE; copper Kα).
Lines closer than 0.1° are merged.

Main lines, in order of rising 2θ (2θ = 10–80°):
2θ (°)	I_rel
11.1	281
24.7	473
25.5	191
30.7	419
32.7	1000
33.8	153
38.8	487
39.3	338
42.5	194
50.7	207

Structure:
```
data_Sm2Tm2Ge3
_cell_length_a 10.589
_cell_length_b 4.587
_cell_length_c 8.094
_cell_angle_alpha 90.00
_cell_angle_beta 100.68
_cell_angle_gamma 90.00
_space_group_name_H-M_alt 'P 1'
_space_group_IT_number 1
loop_
_space_group_symop_operation_xyz
'x,y,z'
loop_
_atom_site_label
_atom_site_type_symbol
_atom_site_fract_x
_atom_site_fract_y
_atom_site_fract_z
Sm1 Sm 0.128 0.000 0.351
Sm2 Sm 0.372 0.500 0.649
Sm3 Sm 0.628 0.500 0.351
Sm4 Sm 0.872 0.000 0.649
Tm1 Tm 0.140 0.500 0.924
Tm2 Tm 0.360 0.000 0.076
Tm3 Tm 0.640 0.000 0.924
Tm4 Tm 0.860 0.500 0.076
Ge1 Ge 0.000 0.000 0.000
Ge2 Ge 0.202 0.000 0.725
Ge3 Ge 0.298 0.500 0.275
Ge4 Ge 0.500 0.500 0.000
Ge5 Ge 0.702 0.500 0.725
Ge6 Ge 0.798 0.000 0.275
```

# 7
Structure and computed X-ray diffraction stick pattern of Sm3TmGe2 (a crystal structure in Alexandria, relaxed with GGA-PBE; copper Kα).
Lines closer than 0.1° are merged.

Main lines, in order of rising 2θ (2θ = 10–80°):
2θ (°)	I_rel
30.5	1000
33.1	283
34.3	152
36.1	618
40.1	254
41.0	239
53.7	223
53.8	163
58.7	166
69.1	151

Structure:
```
data_Sm3TmGe2
_cell_length_a 16.820
_cell_length_b 4.496
_cell_length_c 4.405
_cell_angle_alpha 90.00
_cell_angle_beta 105.12
_cell_angle_gamma 90.00
_space_group_name_H-M_alt 'P 1'
_space_group_IT_number 1
loop_
_space_group_symop_operation_xyz
'x,y,z'
loop_
_atom_site_label
_atom_site_type_symbol
_atom_site_fract_x
_atom_site_fract_y
_atom_site_fract_z
Sm1 Sm 0.000 0.000 0.000
Sm2 Sm 0.180 0.000 0.680
Sm3 Sm 0.320 0.500 0.320
Sm4 Sm 0.500 0.500 0.000
Sm5 Sm 0.680 0.500 0.680
Sm6 Sm 0.820 0.000 0.320
Tm1 Tm 0.000 0.500 0.500
Tm2 Tm 0.500 0.000 0.500
Ge1 Ge 0.133 0.500 0.133
Ge2 Ge 0.367 0.000 0.867
Ge3 Ge 0.633 0.000 0.133
Ge4 Ge 0.867 0.500 0.867
```

# 8
Structure and computed X-ray diffraction stick pattern of Sm3Y3Ge4 (a crystal structure in Alexandria, relaxed with GGA-PBE; copper Kα).
Lines closer than 0.1° are merged.

Main lines, in order of rising 2θ (2θ = 10–80°):
2θ (°)	I_rel
31.2	405
33.1	92
33.4	1000
37.1	343
41.7	191
49.0	96
53.7	138
57.1	193
69.6	90
70.9	110

Structure:
```
data_Sm3Y3Ge4
_cell_length_a 4.329
_cell_length_b 7.660
_cell_length_c 7.660
_cell_angle_alpha 90.14
_cell_angle_beta 90.00
_cell_angle_gamma 90.00
_space_group_name_H-M_alt 'P 1'
_space_group_IT_number 1
loop_
_space_group_symop_operation_xyz
'x,y,z'
loop_
_atom_site_label
_atom_site_type_symbol
_atom_site_fract_x
_atom_site_fract_y
_atom_site_fract_z
Sm1 Sm 0.000 0.000 0.000
Sm2 Sm 0.000 0.154 0.502
Sm3 Sm 0.000 0.502 0.154
Y1 Y 0.000 0.654 0.654
Y2 Y 0.500 0.327 0.828
Y3 Y 0.500 0.828 0.327
Ge1 Ge 0.500 0.205 0.205
Ge2 Ge 0.500 0.454 0.454
Ge3 Ge 0.500 0.703 0.948
Ge4 Ge 0.500 0.948 0.703
```